This entry pairs a crystal structure of MgW2O4 with its calculated X-ray diffraction stick pattern. Radiation: Cu Kα (λ = 1.5418 Å). Structure: the PBE+U geometry in the Materials Project.

Principal peaks in the range 5 to 70 degrees two-theta, sorted by position:
17.15 deg, 5.171 Å, intensity 48, (0 0 2)
18.96 deg, 4.680 Å, intensity 36, (0 2 1)
29.72 deg, 3.006 Å, intensity 36, (1 1 0)
31.03 deg, 2.882 Å, intensity 100, (0 2 3)
34.17 deg, 2.624 Å, intensity 24, (0 4 0)
38.52 deg, 2.337 Å, intensity 41, (1 3 0)
39.78 deg, 2.266 Å, intensity 30, (1 1 3)
42.46 deg, 2.129 Å, intensity 24, (1 3 2)
59.37 deg, 1.557 Å, intensity 20, (1 5 3)
68.04 deg, 1.378 Å, intensity 18, (2 2 3)

Structure:
```
data_MgW2O4
_chemical_formula_sum 'Mg4 W8 O16'
_symmetry_space_group_name_H-M 'C m c m'
_symmetry_Int_Tables_number 63
_symmetry_space_group_name_Hall '-C 2c 2'
_cell_length_a 3.1377
_cell_length_b 10.4970
_cell_length_c 10.3419
_cell_angle_alpha 90.00
_cell_angle_beta 90.00
_cell_angle_gamma 90.00
loop_
_atom_site_label
_atom_site_type_symbol
_atom_site_fract_x
_atom_site_fract_y
_atom_site_fract_z
Mg1 Mg 0.0000 0.1084 0.2500
W1 W 0.0000 0.3676 0.0742
O1 O 0.0000 0.0000 0.0000
O2 O 0.0000 0.2712 0.6151
O3 O 0.0000 0.4806 0.2500
```

---

This entry pairs a crystal structure of Li9Mn2Co5O16 with its calculated X-ray diffraction stick pattern. Radiation: Cu Kα (λ = 1.5418 Å). Structure: the PBE+U geometry in the Materials Project.

Principal peaks in the range 5 to 70 degrees two-theta, sorted by position:
18.01 deg, 4.927 Å, intensity 8, (1 1 -1)
18.39 deg, 4.824 Å, intensity 100, (2 0 0)
35.32 deg, 2.541 Å, intensity 15, (2 0 -4)
36.49 deg, 2.462 Å, intensity 25, (2 2 -2)
42.64 deg, 2.121 Å, intensity 29, (0 0 4)
44.24 deg, 2.047 Å, intensity 52, (4 2 -2)
47.73 deg, 1.905 Å, intensity 9, (2 2 2)
58.22 deg, 1.585 Å, intensity 9, (6 2 -2)
63.02 deg, 1.475 Å, intensity 15, (4 2 2)
63.23 deg, 1.471 Å, intensity 15, (4 2 -6)

Structure:
```
data_Li9Mn2Co5O16
_chemical_formula_sum 'Li18 Mn4 Co10 O32'
_symmetry_space_group_name_H-M 'C 1 m 1'
_symmetry_Int_Tables_number 8
_symmetry_space_group_name_Hall 'C -2y'
_cell_length_a 11.6958
_cell_length_b 5.7346
_cell_length_c 10.2813
_cell_angle_alpha 90.00
_cell_angle_beta 124.41
_cell_angle_gamma 90.00
loop_
_atom_site_label
_atom_site_type_symbol
_atom_site_fract_x
_atom_site_fract_y
_atom_site_fract_z
Li1 Li 0.0000 0.0000 0.0000
Li2 Li 0.9998 0.2475 0.2444
Li3 Li 0.0029 0.5000 0.9999
Li4 Li 0.0092 0.0000 0.5115
Li5 Li 0.0120 0.2464 0.7625
Li6 Li 0.0129 0.5000 0.5095
Li7 Li 0.2557 0.5000 0.0013
Mn1 Mn 0.2551 0.2516 0.2503
Co1 Co 0.2538 0.0000 0.5079
Co2 Co 0.2573 0.0000 0.0055
Co3 Co 0.2573 0.2538 0.7626
Co4 Co 0.2577 0.5000 0.5090
O1 O 0.1330 0.0000 0.7534
O2 O 0.1363 0.5000 0.7481
O3 O 0.1404 0.5000 0.2451
O4 O 0.1410 0.2563 0.5046
O5 O 0.1437 0.0000 0.2569
O6 O 0.1513 0.2368 0.0272
O7 O 0.3599 0.2557 0.4848
O8 O 0.3689 0.2331 0.9962
O9 O 0.3699 0.0000 0.7451
O10 O 0.3713 0.5000 0.2599
O11 O 0.3743 0.0000 0.2673
O12 O 0.3775 0.5000 0.7529
```